For CsTeAuBr6, a cell relaxed with PBE gives the theoretical powder diffraction line list in this record (a wavelength of 1.5418 Å).
No peak broadening, texture or thermal motion is included.

Lattice parameters (Å, degrees): 7.0943 7.4913 7.6302 108.53 97.75 100.12
Space group P1 (No. 1)
One atom of each set of equivalent atoms:
Cs  0.0000  0.0000  0.0000 (multiplicity 1)
Te  0.5337  0.4414  0.5426 (multiplicity 1)
Au  0.2231  0.8436  0.4153 (multiplicity 1)
Br  0.1606  0.1615  0.5656 (multiplicity 1)
Br  0.2941  0.5339  0.2444 (multiplicity 1)
Br  0.4656  0.7510  0.8091 (multiplicity 1)
Br  0.5610  0.1325  0.2490 (multiplicity 1)
Br  0.7380  0.3648  0.8081 (multiplicity 1)
Br  0.8434  0.6507  0.4916 (multiplicity 1)

Top 10 peaks for 2θ from 10° to 90°, sorted by position:
| 2θ/deg | d/Å | I (rel.) | (hkl) |
| --- | --- | --- | --- |
| 12.50 | 7.082 | 70 | 0 0 1 |
| 16.04 | 5.524 | 95 | 1 0 -1 |
| 19.15 | 4.634 | 65 | 1 -1 1 |
| 19.75 | 4.495 | 36 | 1 1 -1 |
| 20.29 | 4.377 | 63 | 1 1 0 |
| 23.89 | 3.725 | 33 | 0 1 -2 |
| 28.29 | 3.154 | 78 | 1 -1 2 |
| 30.31 | 2.949 | 100 | 2 1 -1 |
| 31.70 | 2.822 | 92 | -1 2 1 |
| 44.17 | 2.051 | 33 | 3 0 1 |